(1)
For FeCo2N2, a crystal structure in the Materials Project, relaxed with PBE gives the simulated X-ray powder pattern in this record (λ = 1.5418 Å (Cu Kα)).

a = 2.8148 Å, b = 2.8148 Å, c = 6.4931 Å
α = 90.00°, β = 90.00°, γ = 120.00°
Space group P-3m1 (No. 164)
Asymmetric unit:
Fe 0.0000 0.0000 0.0000 (multiplicity 1)
Co 0.3333 0.6667 0.3377 (multiplicity 2)
N 0.3333 0.6667 0.8079 (multiplicity 2)

Peak list (10 most intense, 2θ from 10° to 90°, by intensity)
Position (°2θ)	d_spacing	I (rel.)
46.6	1.949	100
39.5	2.282	97
66.4	1.407	31
41.7	2.164	28
69.6	1.351	25
81.6	1.180	21
85.0	1.141	14
80.1	1.198	11
84.5	1.146	10
36.9	2.438	1

(2)
For Mg3Zr, a crystal structure in the Materials Project, relaxed with PBE gives the simulated X-ray powder pattern in this record (λ = 1.5418 Å (Cu Kα)).

a = 3.0326 Å, b = 5.1120 Å, c = 5.8426 Å
α = 90.00°, β = 90.00°, γ = 90.00°
Space group Pmm2 (No. 25)
Asymmetric unit:
Mg 0.0000 0.0000 0.0000 (multiplicity 1)
Mg 0.0000 0.5000 0.3194 (multiplicity 1)
Mg 0.5000 0.0000 0.5129 (multiplicity 1)
Zr 0.5000 0.5000 0.8214 (multiplicity 1)

Peak list (10 most intense, 2θ from 10° to 90°, by intensity)
Position (°2θ)	d_spacing	I (rel.)
37.8	2.382	100
35.4	2.536	70
15.2	5.843	54
35.1	2.556	41
33.3	2.692	39
17.3	5.112	38
23.1	3.847	36
49.2	1.853	25
67.9	1.380	22
56.1	1.639	20

(3)
For Ti2TcIr, a crystal structure in the Materials Project, relaxed with PBE gives the simulated X-ray powder pattern in this record (λ = 1.5418 Å (Cu Kα)).

a = 6.2040 Å, b = 6.2040 Å, c = 6.2040 Å
α = 90.00°, β = 90.00°, γ = 90.00°
Space group Fm-3m (No. 225)
Asymmetric unit:
Ti 0.2500 0.2500 0.2500 (multiplicity 8)
Tc 0.0000 0.0000 0.0000 (multiplicity 4)
Ir 0.0000 0.0000 0.5000 (multiplicity 4)

Peak list (10 most intense, 2θ from 10° to 90°, by intensity)
Position (°2θ)	d_spacing	I (rel.)
41.2	2.193	100
28.8	3.102	33
75.0	1.266	33
59.6	1.551	16
67.5	1.387	13
24.9	3.582	13
89.3	1.097	11
51.0	1.791	10
48.7	1.871	7
65.6	1.423	3

Please write out number 3 again, unchanged.
For Ti2TcIr, a crystal structure in the Materials Project, relaxed with PBE gives the simulated X-ray powder pattern in this record (λ = 1.5418 Å (Cu Kα)).

a = 6.2040 Å, b = 6.2040 Å, c = 6.2040 Å
α = 90.00°, β = 90.00°, γ = 90.00°
Space group Fm-3m (No. 225)
Asymmetric unit:
Ti 0.2500 0.2500 0.2500 (multiplicity 8)
Tc 0.0000 0.0000 0.0000 (multiplicity 4)
Ir 0.0000 0.0000 0.5000 (multiplicity 4)

Peak list (10 most intense, 2θ from 10° to 90°, by intensity)
Position (°2θ)	d_spacing	I (rel.)
41.2	2.193	100
28.8	3.102	33
75.0	1.266	33
59.6	1.551	16
67.5	1.387	13
24.9	3.582	13
89.3	1.097	11
51.0	1.791	10
48.7	1.871	7
65.6	1.423	3

Number 2 is which compound? Mg3Zr